Calculated powder XRD pattern
Compound: LiZrAu3Se4
Radiation: copper Kα
Structure: the PBE geometry in OQMD
No peak broadening, texture or thermal motion is included.

Structure:
Lattice parameters (Å, degrees): 6.1601 6.1601 6.1601 90.00 90.00 90.00
Space group P-43m (No. 215)
Symmetry-distinct sites (fractional):
Li 0.0000 0.0000 0.0000 [1 per cell]
Zr 0.5000 0.5000 0.5000 [1 per cell]
Au 0.0000 0.5000 0.5000 [3 per cell]
Se 0.2541 0.2541 0.2541 [4 per cell]

Peak list (8 most intense, 10° ≤ 2θ ≤ 80°, low angle first)
| 2θ (°) | Rel. int. |
| --- | --- |
| 14.38 | 57 |
| 25.04 | 87 |
| 28.99 | 18 |
| 32.50 | 29 |
| 41.46 | 100 |
| 49.05 | 44 |
| 66.12 | 18 |
| 75.63 | 34 |

Calculated powder XRD pattern
Compound: Li8Sn2Au
Radiation: copper Kα
Structure: the PBE geometry in OQMD
No peak broadening, texture or thermal motion is included.

Structure:
Lattice parameters (Å, degrees): 4.5551 4.5551 30.2755 90.00 90.00 120.00
Space group R-3m (No. 166, hexagonal axes)
Symmetry-distinct sites (fractional):
Li 0.0000 0.0000 0.0864 [6 per cell]
Li 0.0000 0.0000 0.1755 [6 per cell]
Li 0.0000 0.0000 0.2660 [6 per cell]
Li 0.0000 0.0000 0.3585 [6 per cell]
Sn 0.0000 0.0000 0.4510 [6 per cell]
Au 0.0000 0.0000 0.0000 [3 per cell]

Peak list (8 most intense, 10° ≤ 2θ ≤ 80°, low angle first)
| 2θ (°) | Rel. int. |
| --- | --- |
| 23.30 | 100 |
| 25.46 | 40 |
| 26.50 | 28 |
| 30.67 | 36 |
| 39.57 | 41 |
| 39.94 | 38 |
| 46.43 | 17 |
| 48.26 | 34 |

Calculated powder XRD pattern
Compound: LiSnTe4Au3
Radiation: copper Kα
Structure: the PBE geometry in OQMD
No peak broadening, texture or thermal motion is included.

Structure:
Lattice parameters (Å, degrees): 6.4457 9.0517 8.9970 90.00 96.93 90.00
Space group P2_1/m (No. 11)
Symmetry-distinct sites (fractional):
Li 0.1522 0.2500 0.0742 [2 per cell]
Sn 0.2841 0.7500 0.2621 [2 per cell]
Te 0.0131 0.0070 0.7804 [4 per cell]
Te 0.4008 0.7500 0.9500 [2 per cell]
Te 0.4916 0.2500 0.4295 [2 per cell]
Au 0.1933 0.0778 0.5281 [4 per cell]
Au 0.3034 0.2500 0.8036 [2 per cell]

Peak list (8 most intense, 10° ≤ 2θ ≤ 80°, low angle first)
| 2θ (°) | Rel. int. |
| --- | --- |
| 13.93 | 57 |
| 24.09 | 100 |
| 31.61 | 30 |
| 36.16 | 42 |
| 38.16 | 55 |
| 41.73 | 25 |
| 44.86 | 38 |
| 49.52 | 24 |

Calculated powder XRD pattern
Compound: LiSnTe4Au3
Radiation: copper Kα
Structure: the PBE geometry in OQMD
No peak broadening, texture or thermal motion is included.

Structure:
Lattice parameters (Å, degrees): 6.4557 6.4557 6.4557 90.00 90.00 90.00
Space group P-43m (No. 215)
Symmetry-distinct sites (fractional):
Li 0.0000 0.0000 0.0000 [1 per cell]
Sn 0.5000 0.5000 0.5000 [1 per cell]
Te 0.2349 0.2349 0.2349 [4 per cell]
Au 0.0000 0.5000 0.5000 [3 per cell]

Peak list (8 most intense, 10° ≤ 2θ ≤ 80°, low angle first)
| 2θ (°) | Rel. int. |
| --- | --- |
| 13.72 | 31 |
| 23.87 | 80 |
| 30.97 | 35 |
| 39.48 | 100 |
| 46.66 | 39 |
| 57.07 | 17 |
| 62.73 | 16 |
| 71.61 | 33 |

Calculated powder XRD pattern
Compound: Li8Tl2Au
Radiation: copper Kα
Structure: the PBE geometry in OQMD
No peak broadening, texture or thermal motion is included.

Structure:
Lattice parameters (Å, degrees): 7.9409 4.5812 10.5719 90.00 104.39 90.00
Space group C2/m (No. 12)
Symmetry-distinct sites (fractional):
Li 0.0859 0.0000 0.2565 [4 per cell]
Li 0.1407 0.5000 0.9224 [4 per cell]
Li 0.1770 0.0000 0.5312 [4 per cell]
Li 0.2299 0.5000 0.1884 [4 per cell]
Tl 0.0494 0.5000 0.6492 [4 per cell]
Au 0.0000 0.0000 0.0000 [2 per cell]

Peak list (8 most intense, 10° ≤ 2θ ≤ 80°, low angle first)
| 2θ (°) | Rel. int. |
| --- | --- |
| 23.15 | 100 |
| 25.26 | 31 |
| 26.11 | 30 |
| 30.36 | 35 |
| 39.34 | 54 |
| 39.47 | 25 |
| 46.12 | 17 |
| 47.81 | 36 |

Calculated powder XRD pattern
Compound: Li8TlAu2
Radiation: copper Kα
Structure: the PBE geometry in OQMD
No peak broadening, texture or thermal motion is included.

Structure:
Lattice parameters (Å, degrees): 7.6934 4.4325 10.5361 90.00 104.18 90.00
Space group C2/m (No. 12)
Symmetry-distinct sites (fractional):
Li 0.0927 0.0000 0.2777 [4 per cell]
Li 0.1329 0.5000 0.8986 [4 per cell]
Li 0.1806 0.0000 0.5425 [4 per cell]
Li 0.2293 0.5000 0.1876 [4 per cell]
Tl 0.0000 0.0000 0.0000 [2 per cell]
Au 0.0462 0.5000 0.6395 [4 per cell]

Peak list (8 most intense, 10° ≤ 2θ ≤ 80°, low angle first)
| 2θ (°) | Rel. int. |
| --- | --- |
| 23.87 | 100 |
| 25.94 | 36 |
| 26.17 | 28 |
| 30.96 | 27 |
| 39.97 | 40 |
| 40.67 | 39 |
| 45.12 | 18 |
| 49.01 | 32 |

Calculated powder XRD pattern
Compound: LiZnAu2
Radiation: copper Kα
Structure: the PBE geometry in OQMD
No peak broadening, texture or thermal motion is included.

Structure:
Lattice parameters (Å, degrees): 6.1361 6.6027 6.1610 90.00 90.00 90.00
Space group Imma (No. 74)
Symmetry-distinct sites (fractional):
Li 0.0000 0.2500 0.0011 [4 per cell]
Zn 0.0000 0.2500 0.4989 [4 per cell]
Au 0.2500 0.0010 0.7500 [8 per cell]

Peak list (8 most intense, 10° ≤ 2θ ≤ 80°, low angle first)
| 2θ (°) | Rel. int. |
| --- | --- |
| 27.01 | 32 |
| 28.99 | 27 |
| 29.11 | 26 |
| 40.08 | 100 |
| 41.54 | 45 |
| 50.25 | 24 |
| 71.81 | 18 |
| 74.71 | 16 |

Calculated powder XRD pattern
Compound: Li2ZnAu
Radiation: copper Kα
Structure: the PBE geometry in OQMD
No peak broadening, texture or thermal motion is included.

Structure:
Lattice parameters (Å, degrees): 4.3202 12.9506 6.1275 90.00 90.00 90.00
Space group Pnnm (No. 58)
Symmetry-distinct sites (fractional):
Li 0.0000 0.0000 0.2500 [4 per cell]
Li 0.0001 0.3334 0.2500 [8 per cell]
Zn 0.0000 0.5000 0.0000 [2 per cell]
Zn 0.0020 0.1666 0.0000 [4 per cell]
Au 0.0000 0.5000 0.5000 [2 per cell]
Au 0.0011 0.8333 0.5000 [4 per cell]

Peak list (8 most intense, 10° ≤ 2θ ≤ 80°, low angle first)
| 2θ (°) | Rel. int. |
| --- | --- |
| 25.23 | 44 |
| 29.21 | 100 |
| 41.79 | 90 |
| 49.48 | 16 |
| 51.80 | 27 |
| 68.53 | 12 |
| 68.71 | 23 |
| 76.35 | 20 |